[1]
This entry pairs a crystal structure of Np3VAg3S8 with its theoretical powder X-ray diffraction pattern. Radiation: λ = 1.5418 Å (Cu Kα). Structure: a PBE-relaxed structure.

Largest 6 diffraction maxima, by intensity, 2θ = 15–90°:
2theta  d_spacing  Rel. int.
32.72  2.737  100
28.04  3.183  55
46.43  1.956  37
47.46  1.916  34
16.19  5.474  25
57.95  1.591  18

Atomic structure:
Cell: 7.6621 7.6621 7.6753 Å, 118.66 118.66 61.39°
Element x y z (fractional)
Np1 0.0000 0.0000 0.0000
Np2 0.0000 0.5000 0.5000
Np3 0.5000 0.0000 0.5000
V1 0.5000 0.5000 0.0000
Ag1 0.0000 0.5000 0.0000
Ag2 0.5000 0.0000 0.0000
Ag3 0.5000 0.5000 0.5000
S1 0.2469 0.2469 0.2539
S2 0.2645 0.7310 0.7699
S3 0.2690 0.2690 0.7636
S4 0.2690 0.7355 0.2301
S5 0.7310 0.2645 0.7699
S6 0.7310 0.7310 0.2364
S7 0.7355 0.2690 0.2301
S8 0.7531 0.7531 0.7461



[2]
This entry pairs a crystal structure of NpSc2Ag with its theoretical powder X-ray diffraction pattern. Radiation: λ = 1.5418 Å (Cu Kα). Structure: a PBE-relaxed structure.

Largest 6 diffraction maxima, by intensity, 2θ = 15–90°:
2theta  d_spacing  Rel. int.
35.22  2.548  100
40.71  2.216  34
20.29  4.378  34
28.48  3.134  30
70.55  1.335  25
59.34  1.557  21

Atomic structure:
Cell: 3.1342 3.1342 8.7552 Å, 90.00 90.00 90.00°
Element x y z (fractional)
Np1 0.0000 0.0000 0.0000
Sc1 0.5000 0.5000 0.2665
Sc2 0.5000 0.5000 0.7335
Ag1 0.0000 0.0000 0.5000



[3]
This entry pairs a crystal structure of Sm2NpAg3Se6 with its theoretical powder X-ray diffraction pattern. Radiation: λ = 1.5418 Å (Cu Kα). Structure: a PBE-relaxed structure.

Largest 6 diffraction maxima, by intensity, 2θ = 15–90°:
2theta  d_spacing  Rel. int.
30.76  2.906  100
30.32  2.948  51
42.33  2.135  42
45.11  2.010  32
53.04  1.726  21
42.44  2.130  21

Atomic structure:
Cell: 9.1842 9.1842 7.9787 Å, 97.90 97.90 26.82°
Element x y z (fractional)
Sm1 0.1666 0.1666 0.3394
Sm2 0.8334 0.8334 0.6606
Np1 0.5000 0.5000 0.0000
Ag1 0.1569 0.1569 0.8541
Ag2 0.5000 0.5000 0.5000
Ag3 0.8431 0.8431 0.1459
Se1 0.0010 0.0010 0.2508
Se2 0.3323 0.3323 0.4067
Se3 0.3339 0.3339 0.9140
Se4 0.6661 0.6661 0.0860
Se5 0.6677 0.6677 0.5933
Se6 0.9990 0.9990 0.7492